Starting from the GGA+U geometry in Alexandria, the XRD peak list of Li3CrSiO5 was calculated for λ = 1.5418 Å (Cu Kα).

Principal peaks in the range 10° ≤ 2θ ≤ 90°, most intense first:
18.5 deg, 4.806 Å, intensity 100, (1 0 0); 44.0 deg, 2.059 Å, intensity 98, (2 2 0); 21.4 deg, 4.143 Å, intensity 56, (1 0 1); 46.0 deg, 1.975 Å, intensity 43, (1 0 3); 29.9 deg, 2.985 Å, intensity 27, (0 0 2); 33.9 deg, 2.647 Å, intensity 22, (1 2 0); 65.0 deg, 1.434 Å, intensity 13, (1 4 1); 65.8 deg, 1.419 Å, intensity 12, (0 2 4); 62.8 deg, 1.479 Å, intensity 12, (3 0 -1); 64.8 deg, 1.439 Å, intensity 12, (3 2 3)

Structural model:
```
data_Li3CrSiO5
_space_group_name_H-M_alt 'P -1'
_space_group_IT_number 2
_cell_length_a 5.104
_cell_length_b 5.736
_cell_length_c 6.256
_cell_angle_alpha 76.33
_cell_angle_beta 75.98
_cell_angle_gamma 73.48
loop_
_space_group_symop_operation_xyz
'x,y,z'
'-x,-y,-z'
loop_
_atom_site_label
_atom_site_type_symbol
_atom_site_fract_x
_atom_site_fract_y
_atom_site_fract_z
Li1 Li 0.013 0.243 0.494
Li2 Li 0.184 0.052 0.106
Li3 Li 0.198 0.554 0.101
Cr1 Cr 0.401 0.345 0.714
Si1 Si 0.398 0.849 0.716
O1 O 0.145 0.120 0.784
O2 O 0.149 0.667 0.781
O3 O 0.340 0.422 0.393
O4 O 0.342 0.955 0.406
O5 O 0.498 0.243 0.025
```